Diffraction record for Tb12PmPr2. The powder diffractogram is simulated, not measured: it uses a DFT-relaxed cell (PBE, Alexandria) and copper Kα.
Neutral-atom scattering factors, no anomalous dispersion.

Main lines, low angle first (2θ from 5° to 70°):
- (2 0 2), 2θ 28.52, I = 74.5
- (2 0 3), 2θ 29.63, I = 57.9
- (2 0 4), 2θ 31.13, I = 91.3
- (1 1 7), 2θ 31.68, I = 100.0
- (0 0 9), 2θ 32.02, I = 56.3
- (2 1 3), 2θ 32.78, I = 88.9
- (2 1 6), 2θ 37.80, I = 69.1
- (2 2 0), 2θ 39.44, I = 55.0

Structure:
Lattice parameters (Å, degrees): 6.4616 6.4616 25.1535 90.00 90.00 90.00
Fractional positions:
1 Tb 0.0645 0.5645 0.1163
2 Tb 0.0645 0.9355 0.8837
3 Tb 0.0818 0.5818 0.4395
4 Tb 0.0818 0.9182 0.5605
5 Tb 0.2500 0.2500 0.2158
6 Tb 0.2500 0.2500 0.3402
7 Tb 0.2500 0.2500 0.6598
8 Tb 0.2500 0.2500 0.7842
9 Tb 0.4182 0.5818 0.5605
10 Tb 0.4182 0.9182 0.4395
11 Tb 0.4355 0.5645 0.8837
12 Tb 0.4355 0.9355 0.1163
13 Tb 0.5645 0.0645 0.8837
14 Tb 0.5645 0.4355 0.1163
15 Tb 0.5818 0.0818 0.5605
16 Tb 0.5818 0.4182 0.4395
17 Tb 0.7500 0.7500 0.2158
18 Tb 0.7500 0.7500 0.3402
19 Tb 0.7500 0.7500 0.6598
20 Tb 0.7500 0.7500 0.7842
21 Tb 0.9182 0.0818 0.4395
22 Tb 0.9182 0.4182 0.5605
23 Tb 0.9355 0.0645 0.1163
24 Tb 0.9355 0.4355 0.8837
25 Pm 0.2500 0.7500 0.0000
26 Pm 0.7500 0.2500 0.0000
27 Pr 0.2500 0.7500 0.2710
28 Pr 0.2500 0.7500 0.7290
29 Pr 0.7500 0.2500 0.2710
30 Pr 0.7500 0.2500 0.7290

***

Diffraction record for Tb3Pm2Pr9. The powder diffractogram is simulated, not measured: it uses a DFT-relaxed cell (PBE, Alexandria) and copper Kα.
Neutral-atom scattering factors, no anomalous dispersion.

Main lines, low angle first (2θ from 5° to 70°):
- (0 0 4), 2θ 25.54, I = 26.0
- (2 0 3), 2θ 29.47, I = 40.6
- (2 1 1), 2θ 30.28, I = 80.9
- (1 1 4), 2θ 32.17, I = 22.5
- (2 1 2), 2θ 32.30, I = 100.0
- (1 0 5), 2θ 34.03, I = 26.3
- (2 1 3), 2θ 35.44, I = 25.9
- (1 4 0), 2θ 52.48, I = 33.0

Structure:
Lattice parameters (Å, degrees): 9.2268 9.2268 13.9536 90.00 90.00 120.00
Fractional positions:
1 Tb 0.0778 0.2487 0.2500
2 Tb 0.1708 0.9222 0.2500
3 Tb 0.2487 0.1708 0.7500
4 Tb 0.7513 0.8292 0.2500
5 Tb 0.8292 0.0778 0.7500
6 Tb 0.9222 0.7513 0.7500
7 Pm 0.3333 0.6667 0.1415
8 Pm 0.3333 0.6667 0.3585
9 Pm 0.6667 0.3333 0.6415
10 Pm 0.6667 0.3333 0.8585
11 Pr 0.0802 0.4810 0.7500
12 Pr 0.1300 0.7248 0.5396
13 Pr 0.1300 0.7248 0.9604
14 Pr 0.2752 0.4052 0.5396
15 Pr 0.2752 0.4052 0.9604
16 Pr 0.4007 0.9198 0.7500
17 Pr 0.4052 0.1300 0.0396
18 Pr 0.4052 0.1300 0.4604
19 Pr 0.4810 0.4007 0.2500
20 Pr 0.5190 0.5993 0.7500
21 Pr 0.5948 0.8700 0.5396
22 Pr 0.5948 0.8700 0.9604
23 Pr 0.5993 0.0802 0.2500
24 Pr 0.7248 0.5948 0.0396
25 Pr 0.7248 0.5948 0.4604
26 Pr 0.8700 0.2752 0.0396
27 Pr 0.8700 0.2752 0.4604
28 Pr 0.9198 0.5190 0.2500

***

Diffraction record for Tb4PmPr3. The powder diffractogram is simulated, not measured: it uses a DFT-relaxed cell (PBE, Alexandria) and copper Kα.
Neutral-atom scattering factors, no anomalous dispersion.

Main lines, low angle first (2θ from 5° to 70°):
- (0 0 2), 2θ 28.07, I = 23.5
- (4 0 0), 2θ 30.54, I = 25.2
- (2 2 1), 2θ 32.04, I = 100.0
- (4 0 2), 2θ 41.96, I = 15.9
- (0 2 3), 2θ 49.74, I = 13.0
- (6 2 1), 2θ 55.23, I = 21.4
- (4 2 3), 2θ 59.50, I = 15.2
- (2 4 2), 2θ 60.28, I = 10.8

Structure:
Lattice parameters (Å, degrees): 11.7094 7.3570 6.3427 90.00 90.00 90.00
Fractional positions:
1 Tb 0.0000 0.1213 0.0000
2 Tb 0.0000 0.8784 0.5005
3 Tb 0.2495 0.8784 0.8325
4 Tb 0.2505 0.1216 0.3325
5 Tb 0.5000 0.1216 0.0005
6 Tb 0.5000 0.8787 0.5000
7 Tb 0.7495 0.1216 0.3325
8 Tb 0.7505 0.8784 0.8325
9 Pm 0.0000 0.6286 0.9989
10 Pm 0.5000 0.3714 0.4989
11 Pr 0.0000 0.3726 0.4985
12 Pr 0.2497 0.3723 0.8347
13 Pr 0.2503 0.6277 0.3347
14 Pr 0.5000 0.6274 0.9985
15 Pr 0.7503 0.3723 0.8347
16 Pr 0.7497 0.6277 0.3347